This entry pairs a crystal structure of Pm8OsRh3I4 with its theoretical X-ray powder pattern. Radiation: Cu Kα (λ = 1.5418 Å). Structure: a DFT-relaxed cell (PBE, Alexandria).

Cell and atoms:
```
data_Pm8OsRh3I4
_symmetry_space_group_name_H-M 'C 1 2/m 1'
_symmetry_Int_Tables_number 12
_cell_length_a 14.402
_cell_length_b 8.303
_cell_length_c 9.428
_cell_angle_alpha 90.00
_cell_angle_beta 120.69
_cell_angle_gamma 90.00
loop_
_symmetry_equiv_pos_as_xyz
'x,y,z'
'-x,-y,-z'
'-x,y,-z'
'x,-y,z'
'x+1/2,y+1/2,z'
'-x+1/2,-y+1/2,-z'
'-x+1/2,y+1/2,-z'
'x+1/2,-y+1/2,z'
loop_
_atom_site_label
_atom_site_type_symbol
_atom_site_fract_x
_atom_site_fract_y
_atom_site_fract_z
Pm1 Pm 0.020 0.246 0.314
Pm2 Pm 0.226 0.000 0.686
Pm3 Pm 0.228 0.500 0.683
Os1 Os 0.000 0.000 0.500
Rh1 Rh 0.000 0.500 0.500
Rh2 Rh 0.250 0.250 0.500
I1 I 0.000 0.000 0.000
I2 I 0.000 0.500 0.000
I3 I 0.250 0.250 0.000
```

Main lines, in order of rising 2θ (10° ≤ 2θ ≤ 90°):
- d = 8.107 Å, I = 16.8, hkl 0 0 1
- d = 3.096 Å, I = 100.0, hkl 4 0 0
- d = 2.499 Å, I = 12.7, hkl 2 2 -3
- d = 2.322 Å, I = 26.8, hkl 2 2 2
- d = 2.077 Å, I = 38.0, hkl 0 4 0
- d = 1.884 Å, I = 8.3, hkl 2 2 3
- d = 1.725 Å, I = 18.0, hkl 4 4 0
- d = 1.647 Å, I = 9.5, hkl 0 4 3
- d = 1.548 Å, I = 7.5, hkl 8 0 0
- d = 1.327 Å, I = 15.0, hkl 10 2 -2

=====

This entry pairs a crystal structure of Dy6TmTl2 with its theoretical X-ray powder pattern. Radiation: Cu Kα (λ = 1.5418 Å). Structure: a DFT-relaxed cell (PBE, Alexandria).

Cell and atoms:
```
data_Dy6TmTl2
_symmetry_space_group_name_H-M 'C 1 2/c 1'
_symmetry_Int_Tables_number 15
_cell_length_a 15.295
_cell_length_b 11.470
_cell_length_c 6.107
_cell_angle_alpha 90.00
_cell_angle_beta 95.44
_cell_angle_gamma 90.00
loop_
_symmetry_equiv_pos_as_xyz
'x,y,z'
'-x,-y,-z'
'-x,y,-z+1/2'
'x,-y,z+1/2'
'x+1/2,y+1/2,z'
'-x+1/2,-y+1/2,-z'
'-x+1/2,y+1/2,-z+1/2'
'x+1/2,-y+1/2,z+1/2'
loop_
_atom_site_label
_atom_site_type_symbol
_atom_site_fract_x
_atom_site_fract_y
_atom_site_fract_z
Dy1 Dy 0.056 0.130 0.011
Dy2 Dy 0.120 0.354 0.313
Dy3 Dy 0.226 0.371 0.836
Tm1 Tm 0.000 0.400 0.750
Tl1 Tl 0.159 0.121 0.586
```

Main lines, in order of rising 2θ (10° ≤ 2θ ≤ 90°):
- d = 2.936 Å, I = 60.4, hkl 1 1 -2
- d = 2.868 Å, I = 54.1, hkl 0 4 0
- d = 2.750 Å, I = 52.8, hkl 5 1 -1
- d = 2.725 Å, I = 100.0, hkl 4 2 1
- d = 2.378 Å, I = 35.9, hkl 1 3 -2
- d = 2.276 Å, I = 26.2, hkl 5 3 -1
- d = 1.801 Å, I = 14.9, hkl 3 1 3
- d = 1.627 Å, I = 17.5, hkl 4 6 1
- d = 1.597 Å, I = 18.1, hkl 6 2 -3
- d = 1.548 Å, I = 17.5, hkl 8 0 2

=====

This entry pairs a crystal structure of Ti5Zn2 with its theoretical X-ray powder pattern. Radiation: Cu Kα (λ = 1.5418 Å). Structure: a DFT-relaxed cell (PBE, Alexandria).

Cell and atoms:
```
data_Ti5Zn2
_symmetry_space_group_name_H-M 'C 1 2/m 1'
_symmetry_Int_Tables_number 12
_cell_length_a 11.250
_cell_length_b 2.963
_cell_length_c 7.153
_cell_angle_alpha 90.00
_cell_angle_beta 104.92
_cell_angle_gamma 90.00
loop_
_symmetry_equiv_pos_as_xyz
'x,y,z'
'-x,-y,-z'
'-x,y,-z'
'x,-y,z'
'x+1/2,y+1/2,z'
'-x+1/2,-y+1/2,-z'
'-x+1/2,y+1/2,-z'
'x+1/2,-y+1/2,z'
loop_
_atom_site_label
_atom_site_type_symbol
_atom_site_fract_x
_atom_site_fract_y
_atom_site_fract_z
Ti1 Ti 0.000 0.000 0.000
Ti2 Ti 0.140 0.000 0.439
Ti3 Ti 0.220 0.500 0.157
Zn1 Zn 0.069 0.500 0.728
```

Main lines, in order of rising 2θ (10° ≤ 2θ ≤ 90°):
- d = 2.350 Å, I = 51.4, hkl 2 0 -3
- d = 2.333 Å, I = 52.5, hkl 4 0 1
- d = 2.292 Å, I = 100.0, hkl 3 1 -1
- d = 2.133 Å, I = 78.3, hkl 1 1 2
- d = 1.807 Å, I = 22.2, hkl 6 0 -2
- d = 1.382 Å, I = 16.1, hkl 5 1 -4
- d = 1.375 Å, I = 16.9, hkl 7 1 0
- d = 1.279 Å, I = 13.0, hkl 1 1 -5
- d = 1.273 Å, I = 12.3, hkl 5 1 3
- d = 1.251 Å, I = 12.1, hkl 4 2 1

=====

This entry pairs a crystal structure of CeAlCu2Ni2 with its theoretical X-ray powder pattern. Radiation: Cu Kα (λ = 1.5418 Å). Structure: a DFT-relaxed cell (PBE, Alexandria).

Cell and atoms:
```
data_CeAlCu2Ni2
_symmetry_space_group_name_H-M 'C m m m'
_symmetry_Int_Tables_number 65
_symmetry_space_group_name_Hall '-C 2 2'
_cell_length_a 5.131
_cell_length_b 8.596
_cell_length_c 4.120
_cell_angle_alpha 90.00
_cell_angle_beta 90.00
_cell_angle_gamma 90.00
loop_
_atom_site_label
_atom_site_type_symbol
_atom_site_fract_x
_atom_site_fract_y
_atom_site_fract_z
Ce1 Ce 0.000 0.000 0.000
Al1 Al 0.000 0.500 0.500
Cu1 Cu 0.250 0.250 0.500
Ni1 Ni 0.000 0.336 0.000
```

Main lines, in order of rising 2θ (10° ≤ 2θ ≤ 90°):
- d = 3.009 Å, I = 29.3, hkl 1 1 1
- d = 2.974 Å, I = 52.3, hkl 0 2 1
- d = 2.502 Å, I = 53.3, hkl 1 3 0
- d = 2.203 Å, I = 37.0, hkl 2 2 0
- d = 2.178 Å, I = 87.5, hkl 2 0 1
- d = 2.138 Å, I = 100.0, hkl 1 3 1
- d = 2.060 Å, I = 47.9, hkl 0 0 2
- d = 1.590 Å, I = 25.4, hkl 1 3 2
- d = 1.505 Å, I = 21.4, hkl 2 2 2
- d = 1.383 Å, I = 23.4, hkl 3 3 1